Computed powder diffraction line list
Compound: Mg6MnCdO8
Radiation: Cu Kα X-rays
Structure: DFT lattice parameters and positions (PBE+U)

Principal peaks in the range 2θ = 10–90°, in order of rising 2θ:
hkl 0 0 2, 20.23°, 4.391 Å, rel. 45; hkl 1 0 2, 28.76°, 3.105 Å, rel. 38; hkl 1 1 2, 35.41°, 2.535 Å, rel. 37; hkl 2 0 0, 41.12°, 2.195 Å, rel. 100; hkl 2 0 2, 46.23°, 1.964 Å, rel. 19; hkl 2 2 0, 59.55°, 1.552 Å, rel. 58

Cell and atoms:
Cell lengths 4.3932, 4.3932, 8.7709 Å; angles 90.00, 90.00, 90.00 degrees
Sites, in units of the cell vectors:
Mg: 0.0000 0.0000 0.0000
Mg: 0.0000 0.0000 0.5000
Mg: 0.0000 0.5000 0.2464
Mg: 0.0000 0.5000 0.7536
Mg: 0.5000 0.0000 0.2464
Mg: 0.5000 0.0000 0.7536
Mn: 0.5000 0.5000 0.0000
Cd: 0.5000 0.5000 0.5000
O: 0.0000 0.0000 0.2499
O: 0.0000 0.0000 0.7501
O: 0.0000 0.5000 0.0000
O: 0.0000 0.5000 0.5000
O: 0.5000 0.0000 0.0000
O: 0.5000 0.0000 0.5000
O: 0.5000 0.5000 0.2404
O: 0.5000 0.5000 0.7596